No. 1
Theoretical powder diffractogram
Compound: Tb2Nd5Sm12
Radiation: a wavelength of 1.5418 Å
Structure: the PBE geometry in Alexandria

Atomic structure:
```
data_Tb2Nd5Sm12
_space_group_name_H-M_alt 'C 1 2/m 1'
_space_group_IT_number 12
_space_group_name_Hall '-C 2y'
_cell_length_a 18.055
_cell_length_b 11.809
_cell_length_c 6.253
_cell_angle_alpha 90.00
_cell_angle_beta 102.98
_cell_angle_gamma 90.00
loop_
_atom_site_label
_atom_site_type_symbol
_atom_site_fract_x
_atom_site_fract_y
_atom_site_fract_z
_atom_site_occupancy
Tb1 Tb 0.000 0.228 0.000 1
Nd1 Nd 0.000 0.000 0.500 1
Nd2 Nd 0.176 0.500 0.858 1
Nd3 Nd 0.214 0.000 0.552 1
Sm1 Sm 0.053 0.500 0.274 1
Sm2 Sm 0.103 0.254 0.618 1
Sm3 Sm 0.120 0.000 0.996 1
Sm4 Sm 0.197 0.254 0.200 1
```

Peak list (12 most intense, 10° ≤ 2θ ≤ 90°, in order of falling intensity)
d (Å)	Position (°2θ)	I/Imax	index
2.839	31.51	100	4 2 1
2.952	30.27	57	0 4 0
2.746	32.61	46	2 2 -2
3.263	27.33	31	5 1 -1
3.018	29.60	22	1 1 -2
2.910	30.73	21	6 0 -1
1.682	54.57	20	4 6 1
2.610	34.36	19	6 2 -1
2.571	34.90	18	5 3 -1
2.072	43.68	14	6 4 -1
1.591	57.98	11	2 4 3
1.511	61.37	11	10 4 0


No. 2
Theoretical powder diffractogram
Compound: Ti3H2O7
Radiation: a wavelength of 1.5418 Å
Structure: the PBE geometry in Alexandria

Atomic structure:
```
data_Ti3H2O7
_space_group_name_H-M_alt 'P 1'
_space_group_IT_number 1
_space_group_name_Hall 'P 1'
_cell_length_a 3.776
_cell_length_b 8.231
_cell_length_c 9.417
_cell_angle_alpha 100.49
_cell_angle_beta 90.17
_cell_angle_gamma 99.90
loop_
_atom_site_label
_atom_site_type_symbol
_atom_site_fract_x
_atom_site_fract_y
_atom_site_fract_z
_atom_site_occupancy
Ti1 Ti 0.000 0.000 0.000 1
Ti2 Ti 0.017 0.069 0.696 1
Ti3 Ti 0.050 0.154 0.387 1
Ti4 Ti 0.604 0.293 0.968 1
Ti5 Ti 0.635 0.378 0.660 1
Ti6 Ti 0.656 0.451 0.356 1
H1 H 0.183 0.714 0.061 1
H2 H 0.803 0.725 0.232 1
H3 H 0.840 0.802 0.405 1
H4 H 0.849 0.638 0.950 1
O1 O 0.004 0.031 0.214 1
O2 O 0.079 0.223 0.937 1
O3 O 0.108 0.307 0.633 1
O4 O 0.138 0.392 0.344 1
O5 O 0.515 0.051 0.012 1
O6 O 0.545 0.141 0.726 1
O7 O 0.576 0.224 0.423 1
O8 O 0.647 0.413 0.142 1
O9 O 0.676 0.468 0.855 1
O10 O 0.696 0.544 0.554 1
O11 O 0.756 0.698 0.328 1
O12 O 0.950 0.904 0.804 1
O13 O 0.955 0.738 0.030 1
O14 O 0.979 0.980 0.503 1
```

Peak list (12 most intense, 10° ≤ 2θ ≤ 90°, in order of falling intensity)
d (Å)	Position (°2θ)	I/Imax	index
7.968	11.10	100	0 1 0
3.621	24.58	23	1 -1 0
3.085	28.94	18	0 0 3
5.551	15.97	16	0 1 1
3.163	28.21	14	1 1 0
3.717	23.94	14	1 0 0
1.885	48.29	12	2 -1 0
2.119	42.67	10	0 1 4
2.513	35.73	10	0 3 -2
2.992	29.86	8	1 -2 0
2.227	40.50	8	0 3 -3
2.712	33.03	6	0 1 3


No. 3
Theoretical powder diffractogram
Compound: Ce2NdCoPt
Radiation: a wavelength of 1.5418 Å
Structure: the PBE geometry in Alexandria

Atomic structure:
```
data_Ce2NdCoPt
_space_group_name_H-M_alt 'P 4 m m'
_space_group_IT_number 99
_space_group_name_Hall 'P 4 -2'
_cell_length_a 4.889
_cell_length_b 4.889
_cell_length_c 5.819
_cell_angle_alpha 90.00
_cell_angle_beta 90.00
_cell_angle_gamma 90.00
loop_
_atom_site_label
_atom_site_type_symbol
_atom_site_fract_x
_atom_site_fract_y
_atom_site_fract_z
_atom_site_occupancy
Ce1 Ce 0.000 0.500 0.000 1
Nd1 Nd 0.000 0.000 0.538 1
Co1 Co 0.000 0.000 0.046 1
Pt1 Pt 0.500 0.500 0.700 1
```

Peak list (12 most intense, 10° ≤ 2θ ≤ 90°, in order of falling intensity)
d (Å)	Position (°2θ)	I/Imax	index
2.972	30.06	100	1 1 1
2.445	36.76	63	2 0 0
5.819	15.23	35	0 0 1
2.500	35.92	33	1 0 2
1.494	62.11	26	3 1 1
3.743	23.77	23	1 0 1
2.226	40.52	23	1 1 2
1.748	52.34	22	2 1 2
1.729	52.97	22	2 2 0
1.872	48.64	17	2 0 2
2.910	30.73	15	0 0 2
2.254	40.00	13	2 0 1